# CuH9CSN4Cl3O
Calculated powder diffraction line list, Cu Kα (weighted mean of Kα1 and Kα2). Input: a structure optimized by DFT (GGA-PBE).
No peak broadening, texture or thermal motion is included.

Cell and atoms:
Unit cell a=7.506 b=8.941 c=9.667 alpha=112.37 beta=98.40 gamma=92.15
Space group P-1 (No. 2)
Unique sites:
Cu: 0.092 0.115 0.225 [2 per cell]
H: 0.082 0.747 0.566 [2 per cell]
H: 0.093 0.384 0.857 [2 per cell]
H: 0.245 0.531 0.374 [2 per cell]
H: 0.363 0.966 0.751 [2 per cell]
H: 0.403 0.121 0.699 [2 per cell]
H: 0.405 0.335 0.773 [2 per cell]
H: 0.470 0.320 0.282 [2 per cell]
H: 0.493 0.729 0.939 [2 per cell]
H: 0.495 0.367 0.799 [2 per cell]
C: 0.206 0.845 0.258 [2 per cell]
S: 0.039 0.088 0.653 [2 per cell]
N: 0.068 0.801 0.334 [2 per cell]
N: 0.274 0.184 0.106 [2 per cell]
N: 0.325 0.870 0.183 [2 per cell]
N: 0.420 0.261 0.154 [2 per cell]
Cl: 0.069 0.729 0.739 [2 per cell]
Cl: 0.200 0.495 0.975 [2 per cell]
Cl: 0.291 0.488 0.513 [2 per cell]
O: 0.321 0.018 0.672 [2 per cell]

Peak list (8 most intense, 15° ≤ 2θ ≤ 90°, low angle first)
d 5.797, I 42
d 4.723, I 42
d 3.908, I 43
d 3.848, I 100
d 3.522, I 46
d 3.372, I 89
d 3.108, I 41
d 2.617, I 42

# CuH9CSN4Cl3O
Calculated powder diffraction line list, Cu Kα (weighted mean of Kα1 and Kα2). Input: a structure optimized by DFT (GGA-PBE).
No peak broadening, texture or thermal motion is included.

Cell and atoms:
Unit cell a=7.506 b=8.941 c=9.667 alpha=112.37 beta=98.40 gamma=92.15
Space group P-1 (No. 2)
Unique sites:
Cu: 0.225 0.092 0.115 [2 per cell]
H: 0.061 0.507 0.271 [2 per cell]
H: 0.143 0.907 0.616 [2 per cell]
H: 0.201 0.505 0.633 [2 per cell]
H: 0.227 0.595 0.665 [2 per cell]
H: 0.249 0.637 0.034 [2 per cell]
H: 0.282 0.470 0.320 [2 per cell]
H: 0.301 0.597 0.879 [2 per cell]
H: 0.374 0.245 0.531 [2 per cell]
H: 0.434 0.918 0.253 [2 per cell]
C: 0.258 0.206 0.845 [2 per cell]
S: 0.347 0.961 0.912 [2 per cell]
N: 0.106 0.274 0.184 [2 per cell]
N: 0.154 0.420 0.261 [2 per cell]
N: 0.183 0.325 0.870 [2 per cell]
N: 0.334 0.068 0.801 [2 per cell]
Cl: 0.025 0.800 0.505 [2 per cell]
Cl: 0.261 0.931 0.271 [2 per cell]
Cl: 0.487 0.709 0.512 [2 per cell]
O: 0.328 0.679 0.982 [2 per cell]

Peak list (8 most intense, 15° ≤ 2θ ≤ 90°, low angle first)
d 5.232, I 46
d 4.232, I 40
d 3.908, I 56
d 3.248, I 49
d 3.213, I 100
d 3.108, I 61
d 3.008, I 67
d 2.781, I 42